Starting from DFT lattice parameters and positions (GGA+U), the powder XRD pattern of Li3CrB4O9 was computed for copper Kα.
No peak broadening, texture or thermal motion is included.

Structural model:
abc: 5.893 8.544 6.704
angles: 90.00 103.38 90.00
Element x y z (fractional)
Li 0.086 0.250 0.498
Li 0.262 0.564 0.840
Li 0.262 0.936 0.840
Li 0.738 0.064 0.160
Li 0.738 0.436 0.160
Li 0.914 0.750 0.502
Cr 0.252 0.250 0.113
Cr 0.748 0.750 0.887
B 0.217 0.543 0.283
B 0.217 0.957 0.283
B 0.364 0.750 0.541
B 0.498 0.250 0.769
B 0.502 0.750 0.231
B 0.636 0.250 0.459
B 0.783 0.043 0.717
B 0.783 0.457 0.717
O 0.083 0.089 0.222
O 0.083 0.411 0.222
O 0.210 0.611 0.468
O 0.210 0.889 0.468
O 0.288 0.250 0.845
O 0.354 0.604 0.157
O 0.354 0.896 0.157
O 0.420 0.750 0.764
O 0.433 0.250 0.546
O 0.567 0.750 0.454
O 0.580 0.250 0.236
O 0.646 0.104 0.843
O 0.646 0.396 0.843
O 0.712 0.750 0.155
O 0.790 0.111 0.532
O 0.790 0.389 0.532
O 0.917 0.589 0.778
O 0.917 0.911 0.778

Main lines, by intensity (15° ≤ 2θ ≤ 90°):
| h k l | d [Å] | 2θ (°) | intensity |
| --- | --- | --- | --- |
| 1 3 0 | 2.549 | 35.2 | 100 |
| 1 1 1 | 3.535 | 25.2 | 88 |
| 0 2 0 | 4.267 | 20.8 | 85 |
| 1 0 -1 | 4.906 | 18.1 | 54 |
| 1 2 0 | 3.425 | 26.0 | 40 |
| 1 0 1 | 3.883 | 22.9 | 39 |
| 0 0 3 | 2.174 | 41.5 | 33 |
| 2 0 0 | 2.866 | 31.2 | 26 |



Starting from DFT lattice parameters and positions (GGA+U), the powder XRD pattern of LiCrBO3 was computed for copper Kα.
No peak broadening, texture or thermal motion is included.

Structural model:
abc: 8.250 8.250 3.147
angles: 90.00 90.00 120.00
Element x y z (fractional)
Li 0.019 0.289 0.000
Li 0.270 0.981 0.000
Li 0.711 0.730 0.000
Cr 0.393 0.375 0.500
Cr 0.625 0.017 0.500
Cr 0.983 0.607 0.500
B 0.000 0.000 0.500
B 0.333 0.667 0.000
B 0.667 0.333 0.000
O 0.081 0.195 0.500
O 0.114 0.919 0.500
O 0.140 0.581 0.000
O 0.419 0.559 0.000
O 0.441 0.860 0.000
O 0.473 0.256 0.000
O 0.744 0.217 0.000
O 0.783 0.527 0.000
O 0.805 0.886 0.500

Main lines, by intensity (15° ≤ 2θ ≤ 90°):
| h k l | d [Å] | 2θ (°) | intensity |
| --- | --- | --- | --- |
| 1 1 0 | 4.125 | 21.5 | 100 |
| 1 1 1 | 2.502 | 35.9 | 80 |
| 2 1 0 | 2.701 | 33.2 | 38 |
| 1 3 1 | 1.677 | 54.7 | 37 |
| 3 0 0 | 2.382 | 37.8 | 28 |
| 3 0 1 | 1.899 | 47.9 | 22 |
| 2 0 1 | 2.361 | 38.1 | 22 |
| 2 1 1 | 2.049 | 44.2 | 22 |



Starting from DFT lattice parameters and positions (GGA+U), the powder XRD pattern of Li9Cr4B8O24 was computed for copper Kα.
No peak broadening, texture or thermal motion is included.

Structural model:
abc: 6.017 8.946 9.472
angles: 113.69 90.11 90.13
Element x y z (fractional)
Li 0.000 0.000 0.000
Li 0.001 0.532 0.428
Li 0.039 0.516 0.941
Li 0.335 0.110 0.673
Li 0.474 0.765 0.510
Li 0.492 0.767 0.028
Li 0.660 0.112 0.170
Li 0.816 0.677 0.835
Li 0.990 0.995 0.499
Cr 0.206 0.154 0.292
Cr 0.283 0.613 0.731
Cr 0.718 0.615 0.230
Cr 0.787 0.150 0.791
B 0.026 0.334 0.092
B 0.096 0.841 0.703
B 0.402 0.927 0.319
B 0.469 0.435 0.936
B 0.531 0.438 0.434
B 0.590 0.924 0.818
B 0.904 0.840 0.200
B 0.971 0.334 0.595
O 0.006 0.489 0.715
O 0.043 0.987 0.700
O 0.046 0.320 0.449
O 0.085 0.807 0.836
O 0.114 0.211 0.129
O 0.186 0.708 0.581
O 0.286 0.047 0.438
O 0.351 0.557 0.912
O 0.420 0.972 0.192
O 0.472 0.475 0.588
O 0.475 0.784 0.316
O 0.480 0.289 0.324
O 0.517 0.287 0.826
O 0.528 0.474 0.090
O 0.533 0.777 0.825
O 0.565 0.958 0.688
O 0.650 0.560 0.412
O 0.704 0.044 0.939
O 0.820 0.707 0.069
O 0.874 0.209 0.616
O 0.906 0.806 0.330
O 0.955 0.989 0.200
O 0.975 0.482 0.209
O 0.984 0.310 0.942

Main lines, by intensity (15° ≤ 2θ ≤ 90°):
| h k l | d [Å] | 2θ (°) | intensity |
| --- | --- | --- | --- |
| 1 1 1 | 3.860 | 23.0 | 100 |
| 1 -1 1 | 4.740 | 18.7 | 93 |
| 0 0 2 | 4.337 | 20.5 | 39 |
| 0 2 -2 | 3.848 | 23.1 | 20 |
| 0 2 -4 | 2.345 | 38.4 | 19 |
| 2 2 0 | 2.421 | 37.1 | 18 |
| 2 -2 0 | 2.429 | 37.0 | 17 |
| 2 1 -1 | 2.801 | 31.9 | 17 |



Starting from DFT lattice parameters and positions (GGA+U), the powder XRD pattern of Li3CrBPO7 was computed for copper Kα.
No peak broadening, texture or thermal motion is included.

Structural model:
abc: 5.050 6.389 8.392
angles: 90.00 95.59 90.00
Element x y z (fractional)
Li 0.240 0.250 0.094
Li 0.254 0.005 0.765
Li 0.254 0.495 0.765
Li 0.746 0.505 0.235
Li 0.746 0.995 0.235
Li 0.760 0.750 0.906
Cr 0.212 0.750 0.324
Cr 0.788 0.250 0.676
B 0.294 0.750 0.044
B 0.706 0.250 0.956
P 0.269 0.250 0.419
P 0.731 0.750 0.581
O 0.036 0.750 0.094
O 0.138 0.250 0.577
O 0.179 0.062 0.309
O 0.179 0.438 0.309
O 0.357 0.750 0.891
O 0.425 0.750 0.541
O 0.491 0.750 0.175
O 0.509 0.250 0.825
O 0.575 0.250 0.459
O 0.643 0.250 0.109
O 0.821 0.562 0.691
O 0.821 0.938 0.691
O 0.862 0.750 0.423
O 0.964 0.250 0.906

Main lines, by intensity (15° ≤ 2θ ≤ 90°):
| h k l | d [Å] | 2θ (°) | intensity |
| --- | --- | --- | --- |
| 0 2 0 | 3.195 | 27.9 | 100 |
| 1 0 1 | 4.132 | 21.5 | 55 |
| 1 0 -1 | 4.505 | 19.7 | 46 |
| 1 0 -2 | 3.378 | 26.4 | 43 |
| 0 1 1 | 5.075 | 17.5 | 41 |
| 1 1 1 | 3.470 | 25.7 | 25 |
| 2 0 -1 | 2.474 | 36.3 | 23 |
| 1 1 3 | 2.198 | 41.1 | 22 |



Starting from DFT lattice parameters and positions (GGA+U), the powder XRD pattern of Li3CrSiBO7 was computed for copper Kα.
No peak broadening, texture or thermal motion is included.

Structural model:
abc: 5.098 6.285 8.356
angles: 90.00 95.28 90.00
Element x y z (fractional)
Li 0.234 0.250 0.102
Li 0.260 0.503 0.751
Li 0.260 0.997 0.751
Li 0.740 0.003 0.249
Li 0.740 0.497 0.249
Li 0.766 0.750 0.898
Cr 0.201 0.750 0.317
Cr 0.799 0.250 0.683
Si 0.277 0.250 0.428
Si 0.723 0.750 0.572
B 0.291 0.750 0.038
B 0.709 0.250 0.962
O 0.035 0.750 0.085
O 0.134 0.250 0.594
O 0.181 0.052 0.305
O 0.181 0.448 0.305
O 0.367 0.750 0.889
O 0.403 0.750 0.530
O 0.477 0.750 0.177
O 0.523 0.250 0.823
O 0.597 0.250 0.470
O 0.633 0.250 0.111
O 0.819 0.552 0.695
O 0.819 0.948 0.695
O 0.866 0.750 0.406
O 0.965 0.250 0.915

Main lines, by intensity (15° ≤ 2θ ≤ 90°):
| h k l | d [Å] | 2θ (°) | intensity |
| --- | --- | --- | --- |
| 0 2 0 | 3.143 | 28.4 | 100 |
| 1 0 1 | 4.166 | 21.3 | 65 |
| 0 1 1 | 5.015 | 17.7 | 61 |
| 1 0 -1 | 4.522 | 19.6 | 51 |
| 1 0 -2 | 3.373 | 26.4 | 39 |
| 1 1 1 | 3.473 | 25.7 | 31 |
| 2 0 0 | 2.537 | 35.4 | 30 |
| 2 0 -1 | 2.493 | 36.0 | 27 |



- Which formula does entry 3 have?
  Li9Cr4B8O24